Computed X-ray powder pattern of AuS5 for Cu Kα (λ = 1.5418 Å), from a PBE-relaxed structure.
Lines closer than 0.1° are merged.

Atomic structure:
```
data_AuS5
_chemical_formula_sum 'Au8 S40'
_cell_length_a 14.4477
_cell_length_b 17.9805
_cell_length_c 5.4218
_cell_angle_alpha 90.00
_cell_angle_beta 90.00
_cell_angle_gamma 90.00
_space_group_name_H-M_alt 'P n m a'
_space_group_IT_number 62
loop_
_space_group_symop_operation_xyz
'x,y,z'
'-x,-y,-z'
'-x+1/2,-y,z+1/2'
'x+1/2,y,-z+1/2'
'x+1/2,-y+1/2,-z+1/2'
'-x+1/2,y+1/2,z+1/2'
'-x,y+1/2,-z'
'x,-y+1/2,z'
loop_
_atom_site_label
_atom_site_fract_x
_atom_site_fract_y
_atom_site_fract_z
Au1 0.0772 0.1458 0.0808
S1 0.0186 0.0315 0.1866
S2 0.1160 0.7500 0.9250
S3 0.1549 0.5048 0.2521
S4 0.1578 0.2500 0.9843
S5 0.1614 0.6146 0.3370
S6 0.2003 0.6603 0.9922
```

Main lines, by angle (2θ from 10° to 80°):
12.3°, intensity 20, hkl 2 0 0
13.2°, intensity 38, hkl 2 1 0
17.5°, intensity 100, hkl 1 0 1
20.5°, intensity 37, hkl 2 0 1
25.2°, intensity 88, hkl 4 1 0
26.5°, intensity 21, hkl 1 4 1
28.9°, intensity 24, hkl 4 3 0
34.0°, intensity 22, hkl 1 1 2
35.2°, intensity 31, hkl 4 5 0
35.3°, intensity 39, hkl 3 5 1


Computed X-ray powder pattern of SnAu2S2 for Cu Kα (λ = 1.5418 Å), from a PBE-relaxed structure.
Lines closer than 0.1° are merged.

Atomic structure:
```
data_SnAu2S2
_chemical_formula_sum 'Sn1 Au2 S2'
_cell_length_a 3.8176
_cell_length_b 3.8176
_cell_length_c 8.1880
_cell_angle_alpha 90.00
_cell_angle_beta 90.00
_cell_angle_gamma 120.00
_space_group_name_H-M_alt 'P -3 m 1'
_space_group_IT_number 164
_space_group_name_Hall '-P 3 2"'
loop_
_atom_site_label
_atom_site_fract_x
_atom_site_fract_y
_atom_site_fract_z
Sn1 0.0000 0.0000 0.0000
Au1 0.3333 0.6667 0.3927
S1 0.3333 0.6667 0.8049
```

Main lines, by angle (2θ from 10° to 80°):
10.8°, intensity 41, hkl 0 0 1
29.1°, intensity 100, hkl 0 1 1
34.9°, intensity 98, hkl 1 0 2
43.0°, intensity 44, hkl 0 1 3
47.6°, intensity 47, hkl 1 1 0
52.6°, intensity 20, hkl 1 0 4
56.8°, intensity 16, hkl 2 0 1
60.4°, intensity 20, hkl 0 2 2
76.7°, intensity 23, hkl 1 1 5
77.2°, intensity 14, hkl 1 2 1